Entry 1:
Computed powder X-ray diffraction pattern
Compound: Nd3PbC
Radiation: Cu Kα (λ = 1.5418 Å)
Structure: a PBE-relaxed structure
Lines closer than 0.1° are merged.

Lattice parameters (Å, degrees): 5.889 5.889 5.889 90.00 90.00 90.00
Space group Pm-3m (No. 221)
Unique sites:
Nd  0.000  0.000  0.500 [3 per cell]
Pb  0.000  0.000  0.000 [1 per cell]
C  0.500  0.500  0.500 [1 per cell]

Top 10 peaks for 2θ = 10–90°, sorted by position:
2θ/deg, I_rel
15.0, 100.0
26.2, 19.5
30.4, 71.6
34.0, 57.6
43.5, 53.8
46.3, 31.2
53.9, 19.0
65.3, 18.2
71.7, 24.5
79.8, 18.4

Entry 2:
Computed powder X-ray diffraction pattern
Compound: Ba2YUO6
Radiation: Cu Kα (λ = 1.5418 Å)
Structure: a PBE-relaxed structure
Lines closer than 0.1° are merged.

Lattice parameters (Å, degrees): 8.823 8.823 8.823 90.00 90.00 90.00
Space group Fm-3m (No. 225)
Unique sites:
Ba  0.250  0.250  0.250 [8 per cell]
Y  0.000  0.000  0.000 [4 per cell]
U  0.000  0.000  0.500 [4 per cell]
O  0.000  0.000  0.256 [24 per cell]

Top 10 peaks for 2θ = 10–90°, sorted by position:
2θ/deg, I_rel
17.4, 13.2
28.6, 100.0
33.7, 8.0
40.9, 29.3
44.8, 3.6
50.7, 42.0
59.2, 18.9
67.1, 18.7
74.5, 6.3
81.7, 22.4

Entry 3:
Computed powder X-ray diffraction pattern
Compound: RbCrI3
Radiation: Cu Kα (λ = 1.5418 Å)
Structure: a PBE-relaxed structure
Lines closer than 0.1° are merged.

Lattice parameters (Å, degrees): 13.991 8.106 7.025 90.00 95.31 90.00
Space group C2/m (No. 12)
Unique sites:
Rb  0.162  0.000  0.240 [4 per cell]
Cr  0.000  0.500  0.000 [2 per cell]
Cr  0.000  0.500  0.500 [2 per cell]
I  0.081  0.259  0.779 [8 per cell]
I  0.166  0.500  0.309 [4 per cell]

Top 10 peaks for 2θ = 10–90°, sorted by position:
2θ/deg, I_rel
12.7, 46.4
25.4, 84.3
27.5, 56.5
27.9, 97.7
29.0, 100.0
29.7, 48.8
35.4, 28.0
44.7, 32.9
45.0, 45.6
50.4, 19.4

Entry 4:
Computed powder X-ray diffraction pattern
Compound: HoTaOs2
Radiation: Cu Kα (λ = 1.5418 Å)
Structure: a PBE-relaxed structure
Lines closer than 0.1° are merged.

Lattice parameters (Å, degrees): 6.556 6.556 6.556 90.00 90.00 90.00
Space group Fm-3m (No. 225)
Unique sites:
Ho  0.000  0.000  0.000 [4 per cell]
Ta  0.000  0.000  0.500 [4 per cell]
Os  0.250  0.250  0.250 [8 per cell]

Top 4 peaks for 2θ = 10–90°, sorted by position:
2θ/deg, I_rel
38.9, 100.0
56.1, 17.4
70.3, 35.5
83.4, 11.4